[1]
# Pr7Dy16Ho6
Theoretical powder XRD pattern, Cu Kα (λ = 1.5418 Å). Input: a cell relaxed with GGA-PBE.

Atomic structure:
Lattice parameters (Å, degrees): 11.2463 11.2463 11.2463 60.00 60.00 60.00
Sites, in units of the cell vectors:
Pr 0.0000 0.0000 0.0000
Pr 0.0000 0.0000 0.5000
Pr 0.0000 0.5000 0.0000
Pr 0.0000 0.5000 0.5000
Pr 0.5000 0.0000 0.0000
Pr 0.5000 0.0000 0.5000
Pr 0.5000 0.5000 0.0000
Dy 0.0516 0.6495 0.6495
Dy 0.1291 0.1291 0.1291
Dy 0.1291 0.1291 0.6127
Dy 0.1291 0.6127 0.1291
Dy 0.3505 0.3505 0.3505
Dy 0.3505 0.3505 0.9484
Dy 0.3505 0.9484 0.3505
Dy 0.3873 0.8709 0.8709
Dy 0.6127 0.1291 0.1291
Dy 0.6495 0.0516 0.6495
Dy 0.6495 0.6495 0.0516
Dy 0.6495 0.6495 0.6495
Dy 0.8709 0.3873 0.8709
Dy 0.8709 0.8709 0.3873
Dy 0.8709 0.8709 0.8709
Dy 0.9484 0.3505 0.3505
Ho 0.2566 0.2566 0.7434
Ho 0.2566 0.7434 0.2566
Ho 0.2566 0.7434 0.7434
Ho 0.7434 0.2566 0.2566
Ho 0.7434 0.2566 0.7434
Ho 0.7434 0.7434 0.2566

Most intense lines, 5 to 70 degrees two-theta, low angle first:
2θ/deg, I/Imax
25.04, 7
27.47, 6
31.83, 100
33.82, 5
35.70, 5
45.63, 15
56.71, 28
66.51, 8

=====

[2]
# Pr6Ir3Cl2
Theoretical powder XRD pattern, Cu Kα (λ = 1.5418 Å). Input: a cell relaxed with GGA-PBE.

Atomic structure:
Lattice parameters (Å, degrees): 7.2914 7.2914 7.6719 99.09 99.09 120.08
Sites, in units of the cell vectors:
Pr 0.0962 0.4280 0.7893
Pr 0.2342 0.2342 0.2069
Pr 0.4280 0.0962 0.7893
Pr 0.5720 0.9038 0.2107
Pr 0.7658 0.7658 0.7931
Pr 0.9038 0.5720 0.2107
Ir 0.1695 0.8305 0.0000
Ir 0.5000 0.5000 0.0000
Ir 0.8305 0.1695 0.0000
Cl 0.3334 0.6666 0.5000
Cl 0.6666 0.3334 0.5000

Most intense lines, 5 to 70 degrees two-theta, low angle first:
2θ/deg, I/Imax
12.16, 61
24.77, 13
29.47, 100
37.97, 23
41.33, 33
42.99, 38
44.84, 16
52.98, 19

=====

[3]
# SbRh
Theoretical powder XRD pattern, Cu Kα (λ = 1.5418 Å). Input: a cell relaxed with GGA-PBE.

Atomic structure:
Lattice parameters (Å, degrees): 6.3270 6.3270 6.3270 38.78 38.78 38.78
Sites, in units of the cell vectors:
Sb 0.0920 0.0920 0.0920
Sb 0.9080 0.9080 0.9080
Rh 0.3527 0.3527 0.3527
Rh 0.6473 0.6473 0.6473

Most intense lines, 5 to 70 degrees two-theta, low angle first:
2θ/deg, I/Imax
15.16, 45
31.97, 100
35.56, 30
43.06, 76
43.89, 45
45.91, 15
54.62, 21
63.75, 19